# 1
# GdCu2Te3
Calculated powder XRD pattern, Cu Ka. Input: a DFT-relaxed cell (GGA-PBE, Alexandria).

Principal peaks in the range 10 to 90 degrees two-theta, in order of rising 2θ:
2θ = 11.73°, I = 35, hkl 0 1 0; 2θ = 24.94°, I = 99, hkl 1 0 1; 2θ = 26.18°, I = 29, hkl 0 2 -2; 2θ = 28.65°, I = 100, hkl -1 1 2; 2θ = 31.05°, I = 25, hkl 0 2 -3; 2θ = 36.70°, I = 41, hkl 1 1 -4; 2θ = 37.89°, I = 23, hkl 0 2 3; 2θ = 41.57°, I = 83, hkl 1 3 -1; 2θ = 43.59°, I = 31, hkl 1 1 -5; 2θ = 43.87°, I = 47, hkl 2 0 -1

Crystal structure
abc: 4.129 7.687 11.089
angles: 100.81 100.69 90.10
Space group P-1 (No. 2)
Asymmetric unit:
Gd (0.152, 0.024, 0.305) x2
Cu (0.214, 0.415, 0.424) x2
Cu (0.448, 0.857, 0.898) x2
Te (0.092, 0.347, 0.181) x2
Te (0.248, 0.759, 0.497) x2
Te (0.434, 0.186, 0.866) x2

# 2
# GdCu5Te4
Calculated powder XRD pattern, Cu Ka. Input: a DFT-relaxed cell (GGA-PBE, Alexandria).

Principal peaks in the range 10 to 90 degrees two-theta, in order of rising 2θ:
2θ = 27.09°, I = 100, hkl 3 1 -1; 2θ = 27.63°, I = 25, hkl 0 0 2; 2θ = 34.81°, I = 53, hkl 5 1 -1; 2θ = 35.21°, I = 41, hkl 2 0 2; 2θ = 41.85°, I = 37, hkl 0 2 0; 2θ = 43.02°, I = 56, hkl 3 1 -3; 2θ = 45.07°, I = 48, hkl 5 1 1; 2θ = 45.51°, I = 18, hkl 8 0 -2; 2θ = 50.87°, I = 14, hkl 8 0 0; 2θ = 55.81°, I = 21, hkl 2 2 2

Crystal structure
abc: 16.064 4.318 7.222
angles: 90.00 116.59 90.00
Space group C2/m (No. 12)
Asymmetric unit:
Gd (0.000, 0.000, 0.000) x2
Cu (0.000, 0.500, 0.500) x2
Cu (0.183, 0.500, 0.326) x4
Cu (0.206, 0.000, 0.875) x4
Te (0.115, 0.500, 0.905) x4
Te (0.129, 0.000, 0.462) x4

# 3
# Cu5Ge2
Calculated powder XRD pattern, Cu Ka. Input: a DFT-relaxed cell (GGA-PBE, Alexandria).

Principal peaks in the range 10 to 90 degrees two-theta, in order of rising 2θ:
2θ = 34.28°, I = 17, hkl 1 1 1; 2θ = 37.87°, I = 52, hkl 1 5 1; 2θ = 45.31°, I = 100, hkl 1 9 1; 2θ = 45.70°, I = 22, hkl 0 14 0; 2θ = 48.76°, I = 27, hkl 2 0 0; 2θ = 49.29°, I = 26, hkl 0 0 2; 2θ = 71.85°, I = 15, hkl 2 0 2; 2θ = 88.75°, I = 13, hkl 3 9 1; 2θ = 89.20°, I = 17, hkl 1 23 1; 2θ = 89.55°, I = 13, hkl 1 9 3

Crystal structure
abc: 3.735 27.796 3.698
angles: 90.00 90.00 90.00
Space group Cmcm (No. 63)
Asymmetric unit:
Cu (0.000, 0.032, 0.250) x4
Cu (0.000, 0.097, 0.750) x4
Cu (0.000, 0.250, 0.250) x4
Cu (0.000, 0.315, 0.750) x4
Cu (0.000, 0.468, 0.250) x4
Ge (0.000, 0.185, 0.750) x4
Ge (0.000, 0.403, 0.750) x4

# 4
# Cu5Ge2
Calculated powder XRD pattern, Cu Ka. Input: a DFT-relaxed cell (GGA-PBE, Alexandria).

Principal peaks in the range 10 to 90 degrees two-theta, in order of rising 2θ:
2θ = 13.54°, I = 6, hkl 0 0 3; 2θ = 33.84°, I = 7, hkl 0 1 5; 2θ = 40.85°, I = 16, hkl 1 0 7; 2θ = 43.67°, I = 100, hkl 1 1 0; 2θ = 44.76°, I = 81, hkl 0 1 8; 2θ = 64.32°, I = 26, hkl 2 0 8; 2θ = 80.21°, I = 15, hkl 3 0 0; 2θ = 80.98°, I = 26, hkl 1 2 8; 2θ = 83.28°, I = 8, hkl 1 0 16; 2θ = 88.38°, I = 9, hkl 1 1 15

Crystal structure
abc: 4.1454 4.1454 19.6160
angles: 90.00 90.00 120.00
Space group R3m (No. 160, hexagonal axes)
Asymmetric unit:
Cu (0.0000, 0.0000, 0.0000) x3
Cu (0.0000, 0.0000, 0.1248) x3
Cu (0.0000, 0.0000, 0.4820) x3
Cu (0.0000, 0.0000, 0.6153) x3
Cu (0.0000, 0.0000, 0.8701) x3
Ge (0.0000, 0.0000, 0.2552) x3
Ge (0.0000, 0.0000, 0.7413) x3

# 5
# YCuGeH
Calculated powder XRD pattern, Cu Ka. Input: a DFT-relaxed cell (GGA-PBE, Alexandria).

Principal peaks in the range 10 to 90 degrees two-theta, in order of rising 2θ:
2θ = 12.25°, I = 26, hkl 0 0 1; 2θ = 31.49°, I = 31, hkl 1 1 0; 2θ = 33.36°, I = 100, hkl 1 0 2; 2θ = 33.91°, I = 50, hkl 1 1 1; 2θ = 40.39°, I = 94, hkl 1 1 2; 2θ = 45.13°, I = 70, hkl 2 0 0; 2θ = 55.81°, I = 25, hkl 1 0 4; 2θ = 57.27°, I = 41, hkl 2 1 2; 2θ = 65.74°, I = 22, hkl 2 2 0; 2θ = 80.07°, I = 23, hkl 3 1 2

Crystal structure
abc: 4.018 4.018 7.224
angles: 90.00 90.00 90.00
Space group P4/nmm (No. 129, origin choice 2)
Asymmetric unit:
Y (0.250, 0.250, 0.156) x2
Cu (0.250, 0.750, 0.500) x2
Ge (0.250, 0.250, 0.698) x2
H (0.250, 0.750, 0.000) x2

# 6
# Hf3Cu4Ge2
Calculated powder XRD pattern, Cu Ka. Input: a DFT-relaxed cell (GGA-PBE, Alexandria).

Principal peaks in the range 10 to 90 degrees two-theta, in order of rising 2θ:
2θ = 27.86°, I = 17, hkl 1 1 0; 2θ = 35.96°, I = 100, hkl 1 1 1; 2θ = 39.58°, I = 79, hkl 2 0 1; 2θ = 43.15°, I = 35, hkl 2 1 0; 2θ = 45.48°, I = 27, hkl 0 0 2; 2θ = 49.28°, I = 16, hkl 3 0 0; 2θ = 60.14°, I = 15, hkl 3 1 0; 2θ = 64.48°, I = 21, hkl 2 1 2; 2θ = 64.97°, I = 26, hkl 3 1 1; 2θ = 78.97°, I = 17, hkl 3 2 1

Crystal structure
abc: 6.4052 6.4052 3.9888
angles: 90.00 90.00 120.00
Space group P-62m (No. 189)
Asymmetric unit:
Hf (0.0000, 0.5894, 0.0000) x3
Cu (0.0000, 0.0000, 0.0000) x1
Cu (0.0000, 0.2408, 0.5000) x3
Ge (0.3333, 0.6667, 0.5000) x2

# 7
# Hf4CuGe
Calculated powder XRD pattern, Cu Ka. Input: a DFT-relaxed cell (GGA-PBE, Alexandria).

Principal peaks in the range 10 to 90 degrees two-theta, in order of rising 2θ:
2θ = 33.63°, I = 15, hkl 0 0 2; 2θ = 34.87°, I = 100, hkl 2 1 1; 2θ = 38.96°, I = 16, hkl 1 1 2; 2θ = 43.57°, I = 26, hkl 3 1 0; 2θ = 43.74°, I = 16, hkl 2 0 2; 2θ = 60.66°, I = 12, hkl 4 1 1; 2θ = 60.94°, I = 20, hkl 2 1 3; 2θ = 66.92°, I = 10, hkl 4 0 2; 2θ = 70.31°, I = 15, hkl 3 3 2; 2θ = 80.83°, I = 13, hkl 5 2 1

Crystal structure
abc: 6.569 6.569 5.330
angles: 90.00 90.00 90.00
Space group I422 (No. 97)
Asymmetric unit:
Hf (0.157, 0.343, 0.250) x8
Cu (0.000, 0.000, 0.500) x2
Ge (0.000, 0.000, 0.000) x2

# 8
# CuHg2GeSe4
Calculated powder XRD pattern, Cu Ka. Input: a DFT-relaxed cell (GGA-PBE, Alexandria).

Principal peaks in the range 10 to 90 degrees two-theta, in order of rising 2θ:
2θ = 23.89°, I = 100, hkl 2 1 0; 2θ = 24.20°, I = 51, hkl 0 2 0; 2θ = 25.80°, I = 93, hkl 0 0 2; 2θ = 27.21°, I = 91, hkl 2 1 1; 2θ = 27.48°, I = 43, hkl 0 2 1; 2θ = 41.84°, I = 45, hkl 4 0 0; 2θ = 42.39°, I = 85, hkl 2 3 0; 2θ = 46.37°, I = 85, hkl 2 1 3; 2θ = 46.54°, I = 42, hkl 0 2 3; 2θ = 50.29°, I = 57, hkl 2 3 2

Crystal structure
abc: 8.637 7.356 6.906
angles: 90.00 90.00 90.00
Space group Pmn2_1 (No. 31)
Asymmetric unit:
Cu (0.000, 0.156, 0.000) x2
Hg (0.248, 0.330, 0.500) x4
Ge (0.000, 0.821, 0.492) x2
Se (0.000, 0.143, 0.355) x2
Se (0.000, 0.854, 0.862) x2
Se (0.229, 0.315, 0.894) x4

# 9
# Ho2Cu3Ge4
Calculated powder XRD pattern, Cu Ka. Input: a DFT-relaxed cell (GGA-PBE, Alexandria).

Principal peaks in the range 10 to 90 degrees two-theta, in order of rising 2θ:
2θ = 34.10°, I = 44, hkl 1 3 2; 2θ = 36.04°, I = 59, hkl 2 2 1; 2θ = 36.44°, I = 100, hkl 1 5 1; 2θ = 38.22°, I = 59, hkl 0 2 3; 2θ = 38.64°, I = 33, hkl 0 6 1; 2θ = 39.97°, I = 77, hkl 2 0 2; 2θ = 40.15°, I = 40, hkl 2 4 0; 2θ = 52.51°, I = 21, hkl 1 7 2; 2θ = 59.45°, I = 24, hkl 3 5 1; 2θ = 62.48°, I = 25, hkl 2 6 3

Crystal structure
abc: 5.666 14.719 7.457
angles: 90.00 90.00 90.00
Space group Cmce (No. 64)
Asymmetric unit:
Ho (0.000, 0.112, 0.092) x8
Cu (0.000, 0.000, 0.500) x4
Cu (0.250, 0.222, 0.750) x8
Ge (0.000, 0.181, 0.471) x8
Ge (0.250, 0.054, 0.750) x8

# 10
# Ho2CuGe4
Calculated powder XRD pattern, Cu Ka. Input: a DFT-relaxed cell (GGA-PBE, Alexandria).

Principal peaks in the range 10 to 90 degrees two-theta, in order of rising 2θ:
2θ = 24.59°, I = 13, hkl 1 0 2; 2θ = 31.80°, I = 22, hkl 0 0 6; 2θ = 34.52°, I = 27, hkl 0 1 5; 2θ = 35.24°, I = 100, hkl 1 1 3; 2θ = 39.12°, I = 20, hkl 1 0 6; 2θ = 44.53°, I = 20, hkl 0 2 0; 2θ = 45.24°, I = 19, hkl 2 0 0; 2θ = 48.78°, I = 12, hkl 1 0 8; 2θ = 58.13°, I = 12, hkl 2 1 5; 2θ = 65.35°, I = 13, hkl 2 2 0

Crystal structure
abc: 4.009 4.069 16.877
angles: 90.00 90.00 90.00
Space group Amm2 (No. 38)
Asymmetric unit:
Ho (0.000, 0.000, 0.000) x2
Ho (0.500, 0.000, 0.208) x2
Cu (0.000, 0.000, 0.780) x2
Ge (0.000, 0.000, 0.365) x2
Ge (0.000, 0.000, 0.642) x2
Ge (0.500, 0.000, 0.549) x2
Ge (0.500, 0.000, 0.864) x2

# 11
# Ho3CuGe2
Calculated powder XRD pattern, Cu Ka. Input: a DFT-relaxed cell (GGA-PBE, Alexandria).

Principal peaks in the range 10 to 90 degrees two-theta, in order of rising 2θ:
2θ = 27.58°, I = 41, hkl 2 1 1; 2θ = 28.38°, I = 45, hkl 3 0 2; 2θ = 30.82°, I = 60, hkl 2 1 2; 2θ = 31.80°, I = 100, hkl 0 1 3; 2θ = 32.47°, I = 44, hkl 1 0 4; 2θ = 32.83°, I = 64, hkl 3 1 1; 2θ = 35.67°, I = 86, hkl 3 1 2; 2θ = 39.18°, I = 40, hkl 4 1 1; 2θ = 41.58°, I = 46, hkl 2 1 4; 2θ = 43.07°, I = 62, hkl 0 2 0

Crystal structure
abc: 11.324 4.200 11.372
angles: 90.00 90.00 90.00
Space group Pnma (No. 62)
Asymmetric unit:
Ho (0.059, 0.250, 0.124) x4
Ho (0.124, 0.750, 0.562) x4
Ho (0.212, 0.250, 0.803) x4
Cu (0.132, 0.250, 0.364) x4
Ge (0.019, 0.750, 0.315) x4
Ge (0.189, 0.750, 0.997) x4

# 12
# La2HoCu3Ge4
Calculated powder XRD pattern, Cu Ka. Input: a DFT-relaxed cell (GGA-PBE, Alexandria).

Principal peaks in the range 10 to 90 degrees two-theta, in order of rising 2θ:
2θ = 32.17°, I = 36, hkl 1 0 3; 2θ = 33.42°, I = 100, hkl 1 1 2; 2θ = 39.14°, I = 14, hkl 1 0 4; 2θ = 41.39°, I = 52, hkl 2 0 0; 2θ = 44.50°, I = 14, hkl 1 1 4; 2θ = 46.80°, I = 14, hkl 1 0 5; 2θ = 53.37°, I = 17, hkl 2 1 3; 2θ = 59.97°, I = 17, hkl 2 2 0; 2θ = 64.23°, I = 10, hkl 2 1 5; 2θ = 70.43°, I = 22, hkl 3 1 2

Crystal structure
abc: 4.363 4.363 10.838
angles: 90.00 90.00 90.00
Space group P-4m2 (No. 115)
Asymmetric unit:
La (0.000, 0.500, 0.226) x2
Ho (0.000, 0.000, 0.500) x1
Cu (0.000, 0.500, 0.886) x2
Cu (0.500, 0.500, 0.500) x1
Ge (0.000, 0.000, 0.000) x1
Ge (0.000, 0.500, 0.661) x2
Ge (0.500, 0.500, 0.000) x1